Record 1
Structure and computed powder X-ray diffraction pattern of Na2FeAgF6 (a DFT-relaxed cell (GGA+U, Alexandria); CuKα).
Intensities are scaled so that the largest is 100.

Structure:
Unit cell a=6.0840 b=6.0840 c=6.0840 alpha=60.00 beta=60.00 gamma=60.00
Atoms (fractional coordinates):
Na1 0.2500 0.2500 0.2500
Na2 0.7500 0.7500 0.7500
Fe1 0.0000 0.0000 0.0000
Ag1 0.5000 0.5000 0.5000
F1 0.2261 0.2261 0.7739
F2 0.2261 0.7739 0.2261
F3 0.2261 0.7739 0.7739
F4 0.7739 0.2261 0.2261
F5 0.7739 0.2261 0.7739
F6 0.7739 0.7739 0.2261

Largest 10 diffraction maxima, in order of falling intensity, 15 to 90 degrees two-theta:
2θ 29.36, d 3.042, I 100
2θ 20.65, d 4.302, I 99
2θ 42.00, d 2.151, I 58
2θ 52.07, d 1.756, I 36
2θ 47.24, d 1.924, I 36
2θ 60.91, d 1.521, I 32
2θ 84.21, d 1.150, I 19
2θ 69.04, d 1.360, I 18
2θ 65.04, d 1.434, I 16
2θ 34.57, d 2.594, I 13


Record 2
Structure and computed powder X-ray diffraction pattern of Fe4AgXeF5 (a DFT-relaxed cell (GGA+U, Alexandria); CuKα).
Intensities are scaled so that the largest is 100.

Structure:
Unit cell a=10.1288 b=10.1288 c=10.1288 alpha=139.98 beta=139.98 gamma=57.88
Atoms (fractional coordinates):
Fe1 0.0878 0.8970 0.6032
Fe2 0.1030 0.7062 0.1909
Fe3 0.2938 0.4847 0.3968
Fe4 0.4847 0.0878 0.1909
Fe5 0.5153 0.9122 0.8091
Fe6 0.7062 0.5153 0.6032
Fe7 0.8970 0.2938 0.8091
Fe8 0.9122 0.1030 0.3968
Ag1 0.0000 0.5000 0.5000
Ag2 0.5000 0.0000 0.5000
Xe1 0.3987 0.3987 0.0000
Xe2 0.6013 0.6013 0.0000
F1 0.0195 0.4126 0.2144
F2 0.1949 0.9805 0.3931
F3 0.1982 0.8051 0.7856
F4 0.2033 0.2033 0.0000
F5 0.4126 0.1982 0.3931
F6 0.5874 0.8018 0.6069
F7 0.7967 0.7967 0.0000
F8 0.8018 0.1949 0.2144
F9 0.8051 0.0195 0.6069
F10 0.9805 0.5874 0.7856

Largest 10 diffraction maxima, in order of falling intensity, 15 to 90 degrees two-theta:
2θ 29.25, d 3.053, I 100
2θ 27.13, d 3.287, I 94
2θ 32.62, d 2.745, I 84
2θ 38.58, d 2.334, I 82
2θ 28.27, d 3.157, I 79
2θ 27.64, d 3.228, I 78
2θ 46.22, d 1.964, I 75
2θ 35.48, d 2.530, I 63
2θ 42.48, d 2.128, I 52
2θ 25.71, d 3.466, I 45


Record 3
Structure and computed powder X-ray diffraction pattern of ZnFeAgF6 (a DFT-relaxed cell (GGA+U, Alexandria); CuKα).
Intensities are scaled so that the largest is 100.

Structure:
Unit cell a=5.4121 b=5.4121 c=10.2931 alpha=90.00 beta=90.00 gamma=120.00
Atoms (fractional coordinates):
Zn1 0.3333 0.6667 0.2500
Zn2 0.6667 0.3333 0.7500
Fe1 0.3333 0.6667 0.7500
Fe2 0.6667 0.3333 0.2500
Ag1 0.0000 0.0000 0.0000
Ag2 0.0000 0.0000 0.5000
F1 0.0143 0.3800 0.6450
F2 0.0143 0.6343 0.8550
F3 0.3657 0.3800 0.8550
F4 0.3657 0.9857 0.6450
F5 0.3800 0.0143 0.1450
F6 0.3800 0.3657 0.3550
F7 0.6200 0.6343 0.6450
F8 0.6200 0.9857 0.8550
F9 0.6343 0.0143 0.3550
F10 0.6343 0.6200 0.1450
F11 0.9857 0.3657 0.1450
F12 0.9857 0.6200 0.3550

Largest 10 diffraction maxima, in order of falling intensity, 15 to 90 degrees two-theta:
2θ 25.71, d 3.465, I 100
2θ 48.84, d 1.865, I 42
2θ 33.10, d 2.706, I 27
2θ 54.80, d 1.675, I 23
2θ 42.38, d 2.133, I 22
2θ 59.13, d 1.562, I 14
2θ 37.55, d 2.395, I 9
2θ 75.42, d 1.260, I 9
2θ 57.18, d 1.611, I 9
2θ 80.14, d 1.198, I 8


Record 4
Structure and computed powder X-ray diffraction pattern of ZnFeAg2F6 (a DFT-relaxed cell (GGA+U, Alexandria); CuKα).
Intensities are scaled so that the largest is 100.

Structure:
Unit cell a=5.7256 b=5.7520 c=9.9499 alpha=90.00 beta=125.05 gamma=90.00
Atoms (fractional coordinates):
Zn1 0.0000 0.0000 0.0000
Zn2 0.0000 0.5000 0.5000
Fe1 0.5000 0.0000 0.5000
Fe2 0.5000 0.5000 0.0000
Ag1 0.2407 0.0366 0.7495
Ag2 0.2407 0.4634 0.2495
Ag3 0.7593 0.5366 0.7505
Ag4 0.7593 0.9634 0.2505
F1 0.1577 0.2167 0.4518
F2 0.1577 0.2833 0.9518
F3 0.2487 0.7157 0.4570
F4 0.2487 0.7843 0.9570
F5 0.3323 0.0230 0.2453
F6 0.3323 0.4770 0.7453
F7 0.6677 0.5230 0.2547
F8 0.6677 0.9770 0.7547
F9 0.7513 0.2157 0.0430
F10 0.7513 0.2843 0.5430
F11 0.8423 0.7167 0.0482
F12 0.8423 0.7833 0.5482

Largest 10 diffraction maxima, in order of falling intensity, 15 to 90 degrees two-theta:
2θ 31.11, d 2.875, I 100
2θ 55.31, d 1.661, I 26
2θ 44.66, d 2.029, I 25
2θ 31.24, d 2.863, I 19
2θ 64.87, d 1.437, I 15
2θ 55.46, d 1.657, I 14
2θ 44.49, d 2.036, I 14
2θ 38.34, d 2.347, I 10
2θ 55.55, d 1.654, I 10
2θ 73.57, d 1.287, I 7